Calculated powder XRD pattern of TaAs2C for Cu Kα (λ = 1.5418 Å), from the GGA-PBE geometry in OQMD.
Neutral-atom scattering factors, no anomalous dispersion.

Principal peaks in the range 10° ≤ 2θ ≤ 90°, in order of rising 2θ:
- d 6.868, 12.9 deg, rel. 38
- d 2.682, 33.4 deg, rel. 23
- d 2.314, 38.9 deg, rel. 100
- d 2.289, 39.4 deg, rel. 18
- d 1.919, 47.4 deg, rel. 16
- d 1.741, 52.6 deg, rel. 14
- d 1.548, 59.7 deg, rel. 21
- d 1.327, 71.1 deg, rel. 13
- d 1.287, 73.6 deg, rel. 15
- d 1.283, 73.9 deg, rel. 17

Structure:
Cell: 3.096 3.096 13.737 Å, 90.00 90.00 120.00°
Fractional positions:
Ta  0.333  0.667  0.250
Ta  0.667  0.333  0.750
As  0.333  0.667  0.598
As  0.333  0.667  0.902
As  0.667  0.333  0.098
As  0.667  0.333  0.402
C  0.000  0.000  0.000
C  0.000  0.000  0.500



Calculated powder XRD pattern of TlAsW4C2 for Cu Kα (λ = 1.5418 Å), from the GGA-PBE geometry in OQMD.
Neutral-atom scattering factors, no anomalous dispersion.

Principal peaks in the range 10° ≤ 2θ ≤ 90°, in order of rising 2θ:
- d 2.785, 32.1 deg, rel. 28
- d 2.599, 34.5 deg, rel. 7
- d 2.560, 35.1 deg, rel. 10
- d 2.343, 38.4 deg, rel. 100
- d 2.166, 41.7 deg, rel. 13
- d 1.710, 53.6 deg, rel. 11
- d 1.608, 57.3 deg, rel. 24
- d 1.403, 66.7 deg, rel. 9
- d 1.326, 71.1 deg, rel. 17
- d 1.291, 73.3 deg, rel. 15

Structure:
Cell: 3.216 3.216 12.995 Å, 90.00 90.00 120.00°
Fractional positions:
Tl  0.000  0.000  0.000
As  0.667  0.333  0.500
W  0.000  0.000  0.352
W  0.000  0.000  0.648
W  0.667  0.333  0.186
W  0.667  0.333  0.814
C  0.333  0.667  0.265
C  0.333  0.667  0.735



Calculated powder XRD pattern of Zr2As3W4C3 for Cu Kα (λ = 1.5418 Å), from the GGA-PBE geometry in OQMD.
Neutral-atom scattering factors, no anomalous dispersion.

Principal peaks in the range 10° ≤ 2θ ≤ 90°, in order of rising 2θ:
- d 2.866, 31.2 deg, rel. 40
- d 2.789, 32.1 deg, rel. 13
- d 2.344, 38.4 deg, rel. 100
- d 2.335, 38.6 deg, rel. 49
- d 2.029, 44.7 deg, rel. 19
- d 1.658, 55.4 deg, rel. 11
- d 1.655, 55.5 deg, rel. 24
- d 1.653, 55.6 deg, rel. 18
- d 1.352, 69.5 deg, rel. 17
- d 1.285, 73.8 deg, rel. 12

Structure:
Cell: 5.728 5.728 12.600 Å, 102.87 102.87 60.11°
Fractional positions:
Zr  0.036  0.870  0.607
Zr  0.130  0.964  0.893
Zr  0.870  0.036  0.107
Zr  0.964  0.130  0.393
As  0.083  0.281  0.749
As  0.281  0.083  0.249
As  0.447  0.553  0.750
As  0.553  0.447  0.250
As  0.719  0.917  0.751
As  0.917  0.719  0.251
W  0.196  0.357  0.084
W  0.303  0.477  0.415
W  0.357  0.196  0.584
W  0.477  0.303  0.915
W  0.523  0.697  0.085
W  0.643  0.804  0.416
W  0.697  0.523  0.585
W  0.804  0.643  0.916
C  0.000  0.500  0.500
C  0.168  0.662  0.000
C  0.338  0.832  0.500
C  0.500  0.000  0.000
C  0.662  0.168  0.500
C  0.832  0.338  0.000



Calculated powder XRD pattern of Cd3As2 for Cu Kα (λ = 1.5418 Å), from the GGA-PBE geometry in OQMD.
Neutral-atom scattering factors, no anomalous dispersion.

Principal peaks in the range 10° ≤ 2θ ≤ 90°, in order of rising 2θ:
- d 3.858, 23.1 deg, rel. 10
- d 3.693, 24.1 deg, rel. 29
- d 3.420, 26.1 deg, rel. 12
- d 3.202, 27.9 deg, rel. 12
- d 3.101, 28.8 deg, rel. 16
- d 2.935, 30.5 deg, rel. 11
- d 2.262, 39.9 deg, rel. 100
- d 1.930, 47.1 deg, rel. 10
- d 1.601, 57.6 deg, rel. 10
- d 1.306, 72.3 deg, rel. 16

Structure:
Cell: 9.057 9.057 12.763 Å, 90.00 90.00 90.00°
Fractional positions:
Cd  0.005  0.750  0.105
Cd  0.032  0.750  0.643
Cd  0.033  0.250  0.632
Cd  0.250  0.033  0.132
Cd  0.250  0.467  0.132
Cd  0.250  0.505  0.395
Cd  0.250  0.532  0.857
Cd  0.250  0.968  0.857
Cd  0.250  0.995  0.395
Cd  0.467  0.250  0.632
Cd  0.468  0.750  0.643
Cd  0.495  0.750  0.105
Cd  0.505  0.250  0.895
Cd  0.532  0.250  0.357
Cd  0.533  0.750  0.368
Cd  0.750  0.005  0.605
Cd  0.750  0.032  0.143
Cd  0.750  0.468  0.143
Cd  0.750  0.495  0.605
Cd  0.750  0.533  0.868
Cd  0.750  0.967  0.868
Cd  0.967  0.750  0.368
Cd  0.968  0.250  0.357
Cd  0.995  0.250  0.895
As  0.004  0.504  0.250
As  0.004  0.996  0.250
As  0.250  0.250  0.492
As  0.250  0.250  0.992
As  0.250  0.750  0.503
As  0.250  0.750  0.997
As  0.496  0.504  0.250
As  0.496  0.996  0.250
As  0.504  0.004  0.750
As  0.504  0.496  0.750
As  0.750  0.250  0.003
As  0.750  0.250  0.497
As  0.750  0.750  0.008
As  0.750  0.750  0.508
As  0.996  0.004  0.750
As  0.996  0.496  0.750